(1)
The following is a calculated X-ray powder pattern of PaTiVSn. It was derived from a DFT-relaxed cell (GGA-PBE, Alexandria), using Cu Kα, 1.54184 Å.
Neutral-atom scattering factors, no anomalous dispersion.

Atomic structure:
a b c (Å): 6.7364 6.7364 6.7364
angles (deg): 90.00 90.00 90.00
Space group F-43m (No. 216)
Unique sites:
Pa 0.0000 0.0000 0.0000 x4
Ti 0.2500 0.2500 0.7500 x4
V 0.2500 0.2500 0.2500 x4
Sn 0.0000 0.0000 0.5000 x4

Main lines, by intensity (2θ from 10° to 90°):
2θ/deg	d/Å	I/Imax	index
37.8	2.382	100	2 2 0
26.5	3.368	38	2 0 0
68.2	1.375	35	4 2 2
54.5	1.684	17	4 0 0
61.6	1.506	17	4 2 0
22.9	3.889	13	1 1 1
46.7	1.945	12	2 2 2
80.7	1.191	11	4 4 0

=====

(2)
The following is a calculated X-ray powder pattern of UPaSn. It was derived from a DFT-relaxed cell (GGA-PBE, Alexandria), using Cu Kα, 1.54184 Å.
Neutral-atom scattering factors, no anomalous dispersion.

Atomic structure:
a b c (Å): 3.6776 3.6776 10.3761
angles (deg): 90.00 90.00 90.00
Space group I4mm (No. 107)
Unique sites:
U 0.0000 0.0000 0.0000 x2
Pa 0.0000 0.0000 0.3956 x2
Sn 0.0000 0.0000 0.6972 x2

Main lines, by intensity (2θ from 10° to 90°):
2θ/deg	d/Å	I/Imax	index
35.6	2.520	100	1 0 3
34.5	2.600	78	1 1 0
62.5	1.485	41	2 1 3
49.6	1.838	36	2 0 0
17.1	5.188	33	0 0 2
38.7	2.325	18	1 1 2
50.5	1.807	17	1 0 5
83.0	1.163	15	3 1 0

=====

(3)
The following is a calculated X-ray powder pattern of PaSnW. It was derived from a DFT-relaxed cell (GGA-PBE, Alexandria), using Cu Kα, 1.54184 Å.
Neutral-atom scattering factors, no anomalous dispersion.

Atomic structure:
a b c (Å): 3.1957 3.1957 26.8435
angles (deg): 90.00 90.00 90.00
Space group I4/mmm (No. 139)
Unique sites:
Pa 0.0000 0.0000 0.1455 x4
Sn 0.0000 0.0000 0.4462 x4
W 0.0000 0.0000 0.2778 x4

Main lines, by intensity (2θ from 10° to 90°):
2θ/deg	d/Å	I/Imax	index
36.6	2.455	100	1 0 7
39.9	2.260	48	1 1 0
70.3	1.339	31	2 1 7
29.7	3.009	25	1 0 3
57.7	1.598	17	2 0 0
32.6	2.746	14	1 0 5
53.0	1.729	14	1 1 10
33.4	2.684	13	0 0 10

=====

(4)
The following is a calculated X-ray powder pattern of PaZn17Sn. It was derived from a DFT-relaxed cell (GGA-PBE, Alexandria), using Cu Kα, 1.54184 Å.
Neutral-atom scattering factors, no anomalous dispersion.

Atomic structure:
a b c (Å): 9.0314 9.0314 13.3183
angles (deg): 90.00 90.00 120.00
Space group R3m (No. 160, hexagonal axes)
Unique sites:
Pa 0.0000 0.0000 0.0000 x3
Zn 0.0000 0.0000 0.2383 x3
Zn 0.0000 0.0000 0.4398 x3
Zn 0.0010 0.5005 0.4932 x9
Zn 0.0029 0.5014 0.1901 x9
Zn 0.0048 0.3040 0.3365 x18
Zn 0.0095 0.5047 0.8314 x9
Sn 0.0000 0.0000 0.7308 x3

Main lines, by intensity (2θ from 10° to 90°):
2θ/deg	d/Å	I/Imax	index
40.1	2.248	100	0 3 3
39.9	2.258	66	2 2 0
34.4	2.607	48	3 0 0
35.4	2.535	44	0 2 4
45.0	2.013	35	2 2 3
40.8	2.211	26	2 1 4
40.6	2.220	25	0 0 6
28.2	3.166	24	1 1 3